1.
Starting from a crystal structure in Alexandria, relaxed with PBE, the powder XRD pattern of ErTh4 was calculated for Cu Kα X-rays.
Peak positions follow from Bragg's law for the DFT cell and can differ from measured ones.

Principal peaks in the range 2θ from 10° to 80°, sorted by position:
d [Å]  2theta  I/Imax
2.910  30.73  100
2.898  30.86  33
2.520  35.63  45
2.512  35.75  22
1.781  51.31  25
1.521  60.92  20

Cell and atoms:
```
ErTh4
1.0
3.083 -1.785 0.000
3.083 1.785 0.000
-2.016 0.000 14.488
Er Th
1 4
direct
0.000 0.000 0.000
0.200 0.200 0.601
0.399 0.399 0.201
0.601 0.601 0.799
0.800 0.800 0.399
```

---

2.
Starting from a crystal structure in Alexandria, relaxed with PBE, the powder XRD pattern of LiHW2 was calculated for Cu Kα X-rays.
Peak positions follow from Bragg's law for the DFT cell and can differ from measured ones.

Principal peaks in the range 2θ from 10° to 80°, sorted by position:
d [Å]  2theta  I/Imax
4.572  19.41  100
2.392  37.60  40
2.378  37.83  20
2.286  39.42  69
1.985  45.70  22
1.815  50.28  17

Cell and atoms:
```
LiHW2
1.0
-2.807 2.807 3.938
2.807 -2.807 3.938
2.807 2.807 -3.938
Li H W
2 2 4
direct
0.375 0.625 0.750
0.625 0.375 0.250
0.125 0.875 0.250
0.875 0.125 0.750
0.000 0.000 0.000
0.000 0.000 0.500
0.000 0.500 0.000
0.500 0.000 0.500
```

---

3.
Starting from a crystal structure in Alexandria, relaxed with PBE, the powder XRD pattern of AcPmP2Rh5 was calculated for Cu Kα X-rays.
Peak positions follow from Bragg's law for the DFT cell and can differ from measured ones.

Principal peaks in the range 2θ from 10° to 80°, sorted by position:
d [Å]  2theta  I/Imax
3.594  24.78  25
3.277  27.21  33
2.817  31.76  24
2.566  34.96  100
2.064  43.87  42
1.734  52.79  23

Cell and atoms:
```
AcPmP2Rh5
1.0
4.127 0.000 0.000
0.000 4.127 0.000
0.000 0.000 10.781
Ac Pm P Rh
1 1 2 5
direct
0.000 0.000 0.000
0.000 0.000 0.500
0.500 0.500 0.213
0.500 0.500 0.787
0.000 0.500 0.301
0.000 0.500 0.699
0.500 0.000 0.301
0.500 0.000 0.699
0.500 0.500 0.000
```

---

4.
Starting from a crystal structure in Alexandria, relaxed with PBE, the powder XRD pattern of Pr7Mg2Hg2 was calculated for Cu Kα X-rays.
Peak positions follow from Bragg's law for the DFT cell and can differ from measured ones.

Principal peaks in the range 2θ from 10° to 80°, sorted by position:
d [Å]  2theta  I/Imax
8.449  10.47  46
3.539  25.17  82
2.876  31.10  53
2.865  31.21  34
2.668  33.59  50
2.565  34.98  100

Cell and atoms:
```
Pr7Mg2Hg2
1.0
3.900 -5.751 0.000
3.900 5.751 0.000
0.000 0.000 8.449
Pr Mg Hg
7 2 2
direct
0.000 0.000 0.000
0.000 0.500 0.288
0.000 0.500 0.712
0.500 0.000 0.288
0.500 0.000 0.712
0.500 0.500 0.250
0.500 0.500 0.750
0.176 0.176 0.500
0.824 0.824 0.500
0.285 0.715 0.000
0.715 0.285 0.000
```

---

5.
Starting from a crystal structure in Alexandria, relaxed with PBE, the powder XRD pattern of PaMnGa5Co2 was calculated for Cu Kα X-rays.
Peak positions follow from Bragg's law for the DFT cell and can differ from measured ones.

Principal peaks in the range 2θ from 10° to 80°, sorted by position:
d [Å]  2theta  I/Imax
2.950  30.29  51
2.775  32.26  43
2.377  37.84  100
2.304  39.10  100
1.634  56.30  43
1.629  56.49  33

Cell and atoms:
```
PaMnGa5Co2
1.0
4.608 0.000 0.000
0.000 4.608 0.000
0.000 0.000 6.953
Pa Mn Ga Co
1 1 5 2
direct
0.000 0.000 0.000
0.000 0.000 0.500
0.000 0.500 0.302
0.000 0.500 0.698
0.500 0.000 0.302
0.500 0.000 0.698
0.500 0.500 0.000
0.500 0.500 0.329
0.500 0.500 0.671
```

---

6.
Starting from a crystal structure in Alexandria, relaxed with PBE, the powder XRD pattern of Ho2Mg2Al15 was calculated for Cu Kα X-rays.
Peak positions follow from Bragg's law for the DFT cell and can differ from measured ones.

Principal peaks in the range 2θ from 10° to 80°, sorted by position:
d [Å]  2theta  I/Imax
7.164  12.35  100
4.876  18.19  38
2.815  31.79  37
2.640  33.96  40
2.438  36.87  43
2.145  42.13  35

Cell and atoms:
```
Ho2Mg2Al15
1.0
4.876 2.815 4.510
-4.876 2.815 4.510
0.000 -5.630 4.510
Ho Mg Al
2 2 15
direct
0.114 0.114 0.114
0.886 0.886 0.886
0.367 0.367 0.367
0.633 0.633 0.633
0.000 0.000 0.500
0.000 0.286 0.714
0.000 0.500 0.000
0.000 0.714 0.286
0.150 0.637 0.637
0.286 0.000 0.714
0.286 0.714 0.000
0.363 0.363 0.850
0.363 0.850 0.363
0.500 0.000 0.000
0.637 0.150 0.637
0.637 0.637 0.150
0.714 0.000 0.286
0.714 0.286 0.000
0.850 0.363 0.363
```

---

7.
Starting from a crystal structure in Alexandria, relaxed with PBE, the powder XRD pattern of Sr3Pa was calculated for Cu Kα X-rays.
Peak positions follow from Bragg's law for the DFT cell and can differ from measured ones.

Principal peaks in the range 2θ from 10° to 80°, sorted by position:
d [Å]  2theta  I/Imax
5.158  17.19  16
3.159  28.25  100
2.234  40.38  19
1.824  50.01  42
1.579  58.43  13
1.413  66.15  18

Cell and atoms:
```
Sr3Pa
1.0
0.000 4.467 4.467
4.467 0.000 4.467
4.467 4.467 0.000
Sr Pa
3 1
direct
0.000 0.000 0.000
0.250 0.250 0.250
0.750 0.750 0.750
0.500 0.500 0.500
```

---

8.
Starting from a crystal structure in Alexandria, relaxed with PBE, the powder XRD pattern of NaPaPO5 was calculated for Cu Kα X-rays.
Peak positions follow from Bragg's law for the DFT cell and can differ from measured ones.

Principal peaks in the range 2θ from 10° to 80°, sorted by position:
d [Å]  2theta  I/Imax
5.495  16.13  100
4.548  19.52  33
3.649  24.39  73
3.448  25.84  41
2.828  31.64  31
2.775  32.26  35

Cell and atoms:
```
NaPaPO5
1.0
3.824 -4.548 0.000
3.824 4.548 0.000
-3.462 0.000 7.221
Na Pa P O
2 2 2 10
direct
0.165 0.835 0.750
0.835 0.165 0.250
0.500 0.500 0.000
0.500 0.500 0.500
0.163 0.837 0.250
0.837 0.163 0.750
0.109 0.228 0.874
0.197 0.674 0.373
0.228 0.109 0.374
0.326 0.803 0.127
0.412 0.588 0.750
0.588 0.412 0.250
0.674 0.197 0.873
0.772 0.891 0.626
0.803 0.326 0.627
0.891 0.772 0.126
```